Record 1
Computed PXRD pattern of TbCu5Ni for Cu Kα, from the GGA-PBE geometry in Alexandria.
Lines closer than 0.1° are merged.

Peak list (10 most intense, 10° ≤ 2θ ≤ 90°, in order of falling intensity)
Position (°2θ), d [Å], intensity
39.4, 2.285, 100
39.7, 2.272, 87
37.9, 2.372, 63
42.6, 2.123, 45
35.8, 2.509, 37
43.6, 2.075, 36
46.8, 1.940, 34
40.3, 2.239, 30
46.7, 1.944, 29
46.5, 1.954, 28

Structure:
```
TbCu5Ni
1.0
7.971 0.000 0.000
0.000 5.017 0.000
0.000 0.000 9.940
Tb Cu Ni
4 20 4
direct
0.242 0.250 0.067
0.258 0.750 0.567
0.742 0.250 0.433
0.758 0.750 0.933
0.062 0.750 0.089
0.063 0.007 0.307
0.063 0.493 0.307
0.104 0.250 0.517
0.185 0.250 0.760
0.315 0.750 0.260
0.396 0.750 0.017
0.437 0.507 0.807
0.437 0.993 0.807
0.438 0.250 0.589
0.562 0.750 0.411
0.563 0.007 0.193
0.563 0.493 0.193
0.604 0.250 0.983
0.685 0.250 0.740
0.815 0.750 0.240
0.896 0.750 0.483
0.937 0.507 0.693
0.937 0.993 0.693
0.938 0.250 0.911
0.150 0.750 0.852
0.350 0.250 0.352
0.650 0.750 0.648
0.850 0.250 0.148
```



Record 2
Computed PXRD pattern of TbCuNi for Cu Kα, from the GGA-PBE geometry in Alexandria.
Lines closer than 0.1° are merged.

Peak list (10 most intense, 10° ≤ 2θ ≤ 90°, in order of falling intensity)
Position (°2θ), d [Å], intensity
35.3, 2.540, 100
43.6, 2.077, 47
57.3, 1.608, 24
69.2, 1.357, 22
74.6, 1.272, 22
24.7, 3.598, 20
50.9, 1.793, 10
85.6, 1.134, 8
80.0, 1.199, 7
57.4, 1.605, 4

Structure:
```
TbCuNi
1.0
4.154 0.000 0.000
-2.077 3.598 0.000
0.000 0.000 3.586
Tb Cu Ni
1 1 1
direct
0.000 0.000 0.000
0.333 0.667 0.500
0.667 0.333 0.500
```



Record 3
Computed PXRD pattern of TbTmCuNi for Cu Kα, from the GGA-PBE geometry in Alexandria.
Lines closer than 0.1° are merged.

Peak list (10 most intense, 10° ≤ 2θ ≤ 90°, in order of falling intensity)
Position (°2θ), d [Å], intensity
33.0, 2.715, 100
41.1, 2.194, 47
41.7, 2.164, 47
26.9, 3.318, 40
36.1, 2.488, 40
55.9, 1.646, 33
35.4, 2.536, 25
69.8, 1.347, 23
66.4, 1.409, 22
49.6, 1.838, 17

Structure:
```
TbTmCuNi
1.0
4.387 0.000 0.000
0.000 3.675 0.000
0.000 0.000 10.143
Tb Tm Cu Ni
2 2 2 2
direct
0.000 0.000 0.000
0.000 0.500 0.500
0.500 0.000 0.279
0.500 0.500 0.779
0.500 0.000 0.569
0.500 0.500 0.069
0.000 0.000 0.714
0.000 0.500 0.214
```